Entry 1:
Computed powder XRD pattern
Compound: Tl2SeS
Radiation: Cu Ka
Structure: a structure optimized by DFT (PBE)
Neutral-atom scattering factors, no anomalous dispersion.

Structural model:
```
8
Lattice="0.000 5.695 5.757 3.527 0.000 5.757 3.527 5.695 0.000" Properties=species:S:1:pos:R:3 pbc="T T T"
Tl 5.326 5.695 5.757
Tl 1.764 2.847 2.878
Tl 5.291 8.542 8.635
Tl 1.729 5.695 5.757
Se 3.527 3.654 5.757
Se 3.527 7.736 5.757
S 3.527 5.695 1.947
S 3.527 5.695 9.566
```

Largest 8 diffraction maxima, by angle, 10° ≤ 2θ ≤ 80°:
| two_theta | I_rel |
| --- | --- |
| 21.95 | 72 |
| 25.25 | 19 |
| 31.07 | 31 |
| 31.42 | 24 |
| 33.70 | 100 |
| 40.72 | 20 |
| 52.09 | 25 |
| 56.97 | 30 |

***

Entry 2:
Computed powder XRD pattern
Compound: Tl3VSe2S2
Radiation: Cu Ka
Structure: a structure optimized by DFT (PBE)
Neutral-atom scattering factors, no anomalous dispersion.

Structural model:
```
8
Lattice="0.000 5.626 3.897 5.342 0.000 3.897 5.342 5.626 0.000" Properties=species:S:1:pos:R:3 pbc="T T T"
Tl 0.000 0.000 0.000
Tl 2.671 2.813 3.490
Tl 8.014 8.439 7.387
V 5.342 5.626 3.803
Se 5.342 3.717 5.110
Se 5.342 7.535 5.110
S 7.088 5.626 2.540
S 3.597 5.626 2.540
```

Largest 8 diffraction maxima, by angle, 10° ≤ 2θ ≤ 80°:
| two_theta | I_rel |
| --- | --- |
| 22.82 | 31 |
| 22.96 | 72 |
| 27.68 | 25 |
| 28.35 | 27 |
| 32.59 | 100 |
| 33.55 | 29 |
| 39.51 | 28 |
| 52.77 | 25 |

***

Entry 3:
Computed powder XRD pattern
Compound: Tm4Se3S
Radiation: Cu Ka
Structure: a structure optimized by DFT (PBE)
Neutral-atom scattering factors, no anomalous dispersion.

Structural model:
```
8
Lattice="5.624 0.000 0.000 0.000 5.624 0.000 0.000 0.000 5.624" Properties=species:S:1:pos:R:3 pbc="T T T"
Tm 0.000 0.000 0.000
Tm 0.000 2.812 2.812
Tm 2.812 0.000 2.812
Tm 2.812 2.812 0.000
Se 0.000 0.000 2.812
Se 0.000 2.812 0.000
Se 2.812 0.000 0.000
S 2.812 2.812 2.812
```

Largest 8 diffraction maxima, by angle, 10° ≤ 2θ ≤ 80°:
| two_theta | I_rel |
| --- | --- |
| 27.47 | 34 |
| 31.83 | 100 |
| 45.63 | 73 |
| 54.09 | 17 |
| 56.70 | 26 |
| 66.51 | 12 |
| 73.39 | 7 |
| 75.62 | 33 |

***

Entry 4:
Computed powder XRD pattern
Compound: Tm5SeS5
Radiation: Cu Ka
Structure: a structure optimized by DFT (PBE)
Neutral-atom scattering factors, no anomalous dispersion.

Structural model:
```
11
Lattice="6.106 -2.737 0.000 6.106 2.737 0.000 -2.418 0.000 7.361" Properties=species:S:1:pos:R:3 pbc="T T T"
Tm 0.000 0.000 0.000
Tm 2.465 0.000 4.826
Tm 3.673 0.000 1.319
Tm 6.120 0.000 6.042
Tm 7.329 0.000 2.535
Se 6.106 0.000 0.000
S 1.210 0.000 2.448
S 0.063 0.000 6.182
S 4.897 0.000 3.680
S 9.731 0.000 1.178
S 8.584 0.000 4.913
```

Largest 8 diffraction maxima, by angle, 10° ≤ 2θ ≤ 80°:
| two_theta | I_rel |
| --- | --- |
| 17.92 | 17 |
| 28.24 | 85 |
| 32.68 | 100 |
| 32.81 | 50 |
| 46.89 | 53 |
| 47.01 | 54 |
| 55.73 | 21 |
| 58.41 | 37 |

***

Entry 5:
Computed powder XRD pattern
Compound: USeS3
Radiation: Cu Ka
Structure: a structure optimized by DFT (PBE)
Neutral-atom scattering factors, no anomalous dispersion.

Structural model:
```
10
Lattice="8.519 -2.134 0.000 8.519 2.134 0.000 -0.419 0.000 7.066" Properties=species:S:1:pos:R:3 pbc="T T T"
U 3.676 0.000 1.724
U 12.942 0.000 5.342
Se 8.023 0.000 4.842
Se 8.596 0.000 2.224
S 0.867 0.000 1.660
S 3.068 0.000 4.336
S 5.130 0.000 6.883
S 11.489 0.000 0.183
S 13.551 0.000 2.729
S 15.751 0.000 5.406
```

Largest 8 diffraction maxima, by angle, 10° ≤ 2θ ≤ 80°:
| two_theta | I_rel |
| --- | --- |
| 10.40 | 100 |
| 20.89 | 58 |
| 24.77 | 56 |
| 25.08 | 44 |
| 25.21 | 45 |
| 29.49 | 51 |
| 42.82 | 37 |
| 43.95 | 36 |

***

Entry 6:
Computed powder XRD pattern
Compound: U3SeS3
Radiation: Cu Ka
Structure: a structure optimized by DFT (PBE)
Neutral-atom scattering factors, no anomalous dispersion.

Structural model:
```
7
Lattice="4.403 2.542 2.330 -4.403 2.542 2.330 0.000 -5.084 2.330" Properties=species:S:1:pos:R:3 pbc="T T T"
U 0.000 -2.519 2.330
U -2.182 1.260 2.330
U 2.182 1.260 2.330
Se 0.000 0.000 1.138
S -1.836 -1.060 4.099
S 1.836 -1.060 4.099
S 0.000 2.120 4.099
```

Largest 8 diffraction maxima, by angle, 10° ≤ 2θ ≤ 80°:
| two_theta | I_rel |
| --- | --- |
| 17.21 | 59 |
| 26.63 | 83 |
| 33.63 | 33 |
| 34.82 | 100 |
| 41.00 | 67 |
| 54.85 | 26 |
| 57.61 | 28 |
| 70.71 | 26 |